Theoretical XRD peak list of AlCr2MoO6 for copper Kα, from a cell relaxed with PBE+U.
Peak positions follow from Bragg's law for the DFT cell and can differ from measured ones.

Structure:
Unit cell a=5.4725 b=5.4725 c=5.4725 alpha=55.77 beta=55.77 gamma=55.77
Atoms (fractional coordinates):
Al (0.0000, 0.0000, 0.0000)
Cr (0.3033, 0.3033, 0.3033)
Cr (0.8008, 0.8008, 0.8008)
Mo (0.4999, 0.4999, 0.4999)
O (0.0808, 0.3855, 0.7241)
O (0.1883, 0.9165, 0.6093)
O (0.3855, 0.7241, 0.0808)
O (0.6093, 0.1883, 0.9165)
O (0.7241, 0.0808, 0.3855)
O (0.9165, 0.6093, 0.1883)

Largest 10 diffraction maxima, low angle first, 2θ from 5° to 70°:
19.27 deg, I = 15; 21.05 deg, I = 41; 23.85 deg, I = 59; 32.87 deg, I = 100; 35.06 deg, I = 94; 40.31 deg, I = 43; 48.82 deg, I = 40; 53.53 deg, I = 83; 61.51 deg, I = 36; 62.89 deg, I = 41